Diffraction record for PmPrPt6. The X-ray diffraction stick pattern is theoretical, not measured: it uses a structure optimized by DFT (GGA-PBE) and Cu Kα.
Peak positions follow from Bragg's law for the DFT cell and can differ from measured ones.

Cell: 5.3991 5.3991 5.3991 Å, 90.00 90.00 90.00°
Sites, in units of the cell vectors:
Pm 0.0000 0.0000 0.0000
Pr 0.5000 0.5000 0.5000
Pt 0.0000 0.2490 0.5000
Pt 0.0000 0.7510 0.5000
Pt 0.2490 0.5000 0.0000
Pt 0.5000 0.0000 0.2490
Pt 0.5000 0.0000 0.7510
Pt 0.7510 0.5000 0.0000

The 10 most intense peaks (2θ = 15–90°), low angle first:
| 2theta | I (rel.) |
| --- | --- |
| 33.19 | 26 |
| 37.24 | 100 |
| 40.94 | 59 |
| 59.29 | 11 |
| 61.97 | 23 |
| 64.59 | 31 |
| 69.66 | 14 |
| 79.37 | 9 |
| 81.74 | 22 |
| 84.09 | 8 |